Simulated X-ray powder pattern of Li3InBr6 for Cu Ka, from a GGA-PBE-relaxed structure.

Crystal structure
```
Li3InBr6
1.0
3.4306 -5.9167 0.0000
3.4306 5.9167 0.0000
-2.3768 0.0000 13.0640
Li In Br
6 2 12
Direct
0.0930 0.9070 0.7500 Li
0.1605 0.3211 0.9996 Li
0.3211 0.1605 0.4996 Li
0.6789 0.8395 0.5004 Li
0.8395 0.6789 0.0004 Li
0.9070 0.0930 0.2500 Li
0.0000 0.5000 0.5000 In
0.5000 0.0000 0.0000 In
0.0404 0.2089 0.6192 Br
0.1316 0.6391 0.8821 Br
0.2089 0.0404 0.1192 Br
0.2779 0.4491 0.3806 Br
0.3609 0.8684 0.6179 Br
0.4491 0.2779 0.8806 Br
0.5509 0.7221 0.1194 Br
0.6391 0.1316 0.3821 Br
0.7221 0.5509 0.6194 Br
0.7911 0.9596 0.8808 Br
0.8684 0.3609 0.1179 Br
0.9596 0.7911 0.3808 Br
```

The 10 most intense peaks (2θ = 15–90°), sorted by position:
- 2θ 15.57, 5.690 Å, rel. 17
- 2θ 27.31, 3.265 Å, rel. 19
- 2θ 27.49, 3.245 Å, rel. 16
- 2θ 27.66, 3.225 Å, rel. 33
- 2θ 31.89, 2.806 Å, rel. 100
- 2θ 45.35, 2.000 Å, rel. 12
- 2θ 45.63, 1.988 Å, rel. 24
- 2θ 45.87, 1.978 Å, rel. 23
- 2θ 46.02, 1.972 Å, rel. 12
- 2θ 57.12, 1.613 Å, rel. 12